No. 1
Starting from a cell relaxed with GGA-PBE, the powder X-ray diffraction pattern of HgO2 was calculated for CuKα.
Kinematic intensities with the Lorentz-polarization factor, no thermal factor.

Most intense lines, 2θ from 10° to 90°, most intense first:
two_theta, I/Imax
28.99, 100.0
26.89, 67.9
23.14, 61.4
41.57, 35.0
35.55, 33.5
45.83, 28.6
42.85, 26.0
41.06, 22.0
55.42, 17.9
36.86, 17.7

Atomic structure:
Cell lengths 3.526, 3.526, 4.304 Å; angles 108.30, 108.30, 91.47 degrees
Atoms (fractional coordinates):
Hg  0.000  0.000  0.000
O  0.476  0.476  0.317
O  0.524  0.524  0.683


No. 2
Starting from a cell relaxed with GGA-PBE, the powder X-ray diffraction pattern of HgO2 was calculated for CuKα.
Kinematic intensities with the Lorentz-polarization factor, no thermal factor.

Most intense lines, 2θ from 10° to 90°, most intense first:
two_theta, I/Imax
27.14, 100.0
28.38, 36.2
28.72, 35.5
40.82, 25.7
49.50, 24.9
49.93, 23.9
55.98, 19.3
36.60, 17.8
46.96, 16.7
47.18, 16.5

Atomic structure:
Cell lengths 4.910, 6.289, 6.216 Å; angles 90.00, 90.00, 90.00 degrees
Atoms (fractional coordinates):
Hg  0.000  0.000  0.000
Hg  0.000  0.500  0.500
Hg  0.500  0.000  0.500
Hg  0.500  0.500  0.000
O  0.084  0.071  0.433
O  0.084  0.429  0.933
O  0.416  0.571  0.433
O  0.416  0.929  0.933
O  0.584  0.071  0.067
O  0.584  0.429  0.567
O  0.916  0.571  0.067
O  0.916  0.929  0.567


No. 3
Starting from a cell relaxed with GGA-PBE, the powder X-ray diffraction pattern of Hg2PO4 was calculated for CuKα.
Kinematic intensities with the Lorentz-polarization factor, no thermal factor.

Most intense lines, 2θ from 10° to 90°, most intense first:
two_theta, I/Imax
30.18, 100.0
24.36, 62.4
18.22, 51.4
19.87, 46.6
34.16, 36.6
33.74, 33.2
12.12, 30.5
28.30, 21.0
47.56, 20.6
45.36, 18.5

Atomic structure:
Cell lengths 7.958, 7.958, 8.185 Å; angles 102.92, 102.92, 105.62 degrees
Atoms (fractional coordinates):
Hg  0.059  0.263  0.450
Hg  0.066  0.425  0.202
Hg  0.263  0.059  0.950
Hg  0.425  0.066  0.702
Hg  0.575  0.934  0.298
Hg  0.737  0.941  0.050
Hg  0.934  0.575  0.798
Hg  0.941  0.737  0.550
P  0.137  0.863  0.250
P  0.450  0.550  0.750
P  0.550  0.450  0.250
P  0.863  0.137  0.750
O  0.011  0.135  0.655
O  0.093  0.676  0.111
O  0.135  0.011  0.155
O  0.320  0.568  0.862
O  0.324  0.907  0.389
O  0.349  0.393  0.127
O  0.393  0.349  0.627
O  0.432  0.680  0.638
O  0.568  0.320  0.362
O  0.607  0.651  0.373
O  0.651  0.607  0.873
O  0.676  0.093  0.611
O  0.680  0.432  0.138
O  0.865  0.989  0.845
O  0.907  0.324  0.889
O  0.989  0.865  0.345


No. 4
Starting from a cell relaxed with GGA-PBE, the powder X-ray diffraction pattern of HgPO4 was calculated for CuKα.
Kinematic intensities with the Lorentz-polarization factor, no thermal factor.

Most intense lines, 2θ from 10° to 90°, most intense first:
two_theta, I/Imax
24.64, 100.0
19.56, 78.3
24.83, 75.1
22.97, 54.8
29.40, 49.0
31.65, 46.3
32.47, 41.8
29.84, 34.1
17.91, 30.0
38.08, 27.9

Atomic structure:
Cell lengths 6.446, 7.286, 7.384 Å; angles 80.79, 81.80, 84.34 degrees
Atoms (fractional coordinates):
Hg  0.051  0.174  0.264
Hg  0.378  0.715  0.308
Hg  0.622  0.285  0.692
Hg  0.949  0.826  0.736
P  0.111  0.309  0.756
P  0.445  0.784  0.796
P  0.555  0.216  0.204
P  0.889  0.691  0.244
O  0.003  0.510  0.184
O  0.038  0.783  0.351
O  0.164  0.182  0.934
O  0.282  0.819  0.653
O  0.311  0.344  0.615
O  0.338  0.831  0.984
O  0.375  0.085  0.292
O  0.464  0.420  0.173
O  0.536  0.580  0.827
O  0.625  0.915  0.708
O  0.662  0.169  0.016
O  0.689  0.656  0.385
O  0.718  0.181  0.347
O  0.836  0.818  0.066
O  0.962  0.217  0.649
O  0.997  0.490  0.816


No. 5
Starting from a cell relaxed with GGA-PBE, the powder X-ray diffraction pattern of Hg3PO4 was calculated for CuKα.
Kinematic intensities with the Lorentz-polarization factor, no thermal factor.

Most intense lines, 2θ from 10° to 90°, most intense first:
two_theta, I/Imax
28.32, 100.0
24.72, 65.1
22.51, 64.4
31.78, 57.3
19.81, 50.4
38.15, 42.7
24.27, 40.6
46.98, 33.7
28.89, 33.5
48.70, 30.1

Atomic structure:
Cell lengths 8.076, 8.369, 10.227 Å; angles 90.00, 118.79, 90.00 degrees
Atoms (fractional coordinates):
Hg  0.062  0.225  0.073
Hg  0.062  0.275  0.573
Hg  0.349  0.054  0.112
Hg  0.349  0.446  0.612
Hg  0.365  0.603  0.971
Hg  0.365  0.897  0.471
Hg  0.635  0.103  0.529
Hg  0.635  0.397  0.029
Hg  0.651  0.554  0.388
Hg  0.651  0.946  0.888
Hg  0.938  0.725  0.427
Hg  0.938  0.775  0.927
P  0.204  0.568  0.246
P  0.204  0.932  0.746
P  0.796  0.068  0.254
P  0.796  0.432  0.754
O  0.019  0.030  0.669
O  0.019  0.470  0.169
O  0.201  0.670  0.376
O  0.201  0.830  0.876
O  0.231  0.683  0.138
O  0.231  0.817  0.638
O  0.375  0.052  0.820
O  0.375  0.448  0.320
O  0.625  0.552  0.680
O  0.625  0.948  0.180
O  0.769  0.183  0.362
O  0.769  0.317  0.862
O  0.799  0.170  0.124
O  0.799  0.330  0.624
O  0.981  0.530  0.831
O  0.981  0.970  0.331


No. 6
Starting from a cell relaxed with GGA-PBE, the powder X-ray diffraction pattern of HgPO4 was calculated for CuKα.
Kinematic intensities with the Lorentz-polarization factor, no thermal factor.

Most intense lines, 2θ from 10° to 90°, most intense first:
two_theta, I/Imax
12.14, 100.0
25.82, 59.6
19.11, 55.1
33.01, 20.0
38.80, 19.7
30.22, 18.5
23.29, 16.8
22.88, 15.9
35.84, 15.6
52.17, 13.0

Atomic structure:
Cell lengths 4.905, 14.581, 7.936 Å; angles 90.00, 125.37, 90.00 degrees
Atoms (fractional coordinates):
Hg  0.235  0.020  0.192
Hg  0.235  0.480  0.692
Hg  0.765  0.520  0.308
Hg  0.765  0.980  0.808
P  0.056  0.638  0.990
P  0.056  0.862  0.490
P  0.944  0.138  0.510
P  0.944  0.362  0.010
O  0.049  0.632  0.180
O  0.049  0.868  0.680
O  0.175  0.737  0.992
O  0.175  0.763  0.492
O  0.282  0.123  0.719
O  0.282  0.377  0.219
O  0.311  0.568  0.006
O  0.311  0.932  0.506
O  0.689  0.068  0.494
O  0.689  0.432  0.994
O  0.718  0.623  0.781
O  0.718  0.877  0.281
O  0.825  0.237  0.508
O  0.825  0.263  0.008
O  0.951  0.132  0.320
O  0.951  0.368  0.820


What did the first record say?
Starting from a cell relaxed with GGA-PBE, the powder X-ray diffraction pattern of HgO2 was calculated for CuKα.
Kinematic intensities with the Lorentz-polarization factor, no thermal factor.

Most intense lines, 2θ from 10° to 90°, most intense first:
two_theta, I/Imax
28.99, 100.0
26.89, 67.9
23.14, 61.4
41.57, 35.0
35.55, 33.5
45.83, 28.6
42.85, 26.0
41.06, 22.0
55.42, 17.9
36.86, 17.7

Atomic structure:
Cell lengths 3.526, 3.526, 4.304 Å; angles 108.30, 108.30, 91.47 degrees
Atoms (fractional coordinates):
Hg  0.000  0.000  0.000
O  0.476  0.476  0.317
O  0.524  0.524  0.683